This entry pairs a crystal structure of YIn6Ag6 with its computed powder X-ray diffraction pattern. Radiation: λ = 1.5418 Å (Cu Kα). Structure: a GGA-PBE-relaxed structure.
No peak broadening, texture or thermal motion is included.

Peak list (8 most intense, 10 to 90 degrees two-theta, low angle first)
2theta	d/Å	I (rel.)
31.30	2.858	38
35.67	2.517	49
35.80	2.508	42
36.51	2.461	76
36.64	2.452	53
37.12	2.422	43
40.38	2.233	100
41.24	2.189	43

Structural model:
```
YIn6Ag6
1.0
-2.9317 4.8435 4.9087
2.9317 -4.8435 4.9087
2.9317 4.8435 -4.9087
Y In Ag
1 6 6
Cartesian
0.0000 0.0000 0.0000
2.9317 0.0000 1.7548
0.0000 0.0000 3.3523
0.0000 3.3420 0.0000
0.0000 6.3449 0.0000
0.0000 0.0000 6.4650
0.0000 4.8435 3.1538
1.4659 2.4217 -2.4543
1.4659 -2.4217 2.4543
2.9317 2.3011 0.0000
-1.4659 2.4217 2.4543
1.4659 2.4217 2.4543
0.0000 2.5424 4.9087
```